The following is a calculated powder X-ray diffraction pattern of Li2MnI5. It was derived from a structure optimized by DFT (GGA-PBE), using Cu Kα, 1.54184 Å.
Intensities are scaled so that the largest is 100.

Largest 10 diffraction maxima, by angle, 2θ = 10–80°:
2theta, Rel. int.
15.98, 44
24.98, 100
25.12, 86
25.73, 69
27.23, 24
31.93, 29
38.62, 22
40.20, 23
44.93, 40
54.75, 23

Structure:
```
Li2MnI5
1.0
5.7503 -4.6622 0.0000
5.7503 4.6622 0.0000
-4.1557 0.0000 5.5404
Li Mn I
2 1 5
Direct
0.2066 0.7934 0.0000
0.7934 0.2066 0.0000
0.8022 0.8022 0.2057
0.0783 0.5141 0.1327
0.0835 0.0835 0.3766
0.5102 0.5102 0.8812
0.5141 0.0783 0.1327
0.8286 0.8286 0.6326
```

=====

The following is a calculated powder X-ray diffraction pattern of Li2Mn3I8. It was derived from a structure optimized by DFT (GGA-PBE), using Cu Kα, 1.54184 Å.
Intensities are scaled so that the largest is 100.

Largest 10 diffraction maxima, by angle, 2θ = 10–80°:
2theta, Rel. int.
12.68, 14
25.47, 100
29.49, 100
42.16, 61
42.36, 12
49.87, 27
50.05, 14
52.21, 12
52.42, 12
69.27, 13

Structure:
```
Li2Mn3I8
1.0
4.2910 -8.5358 0.0000
4.2910 8.5358 0.0000
0.0000 0.0000 12.1400
Li Mn I
4 6 16
Direct
0.1293 0.8707 0.8868
0.3707 0.6293 0.3868
0.6293 0.3707 0.6132
0.8707 0.1293 0.1132
0.0000 0.0000 0.5000
0.1194 0.3806 0.7500
0.3806 0.1194 0.2500
0.5000 0.5000 0.0000
0.6194 0.8806 0.7500
0.8806 0.6194 0.2500
0.0043 0.9957 0.2569
0.1134 0.3555 0.5144
0.1445 0.3866 0.9856
0.2426 0.7574 0.2393
0.2574 0.7426 0.7393
0.3555 0.1134 0.4856
0.3866 0.1445 0.0144
0.4957 0.5043 0.7569
0.5043 0.4957 0.2431
0.6134 0.8555 0.9856
0.6445 0.8866 0.5144
0.7426 0.2574 0.2607
0.7574 0.2426 0.7607
0.8555 0.6134 0.0144
0.8866 0.6445 0.4856
0.9957 0.0043 0.7431
```